1.
For NdIn4Pd2, DFT lattice parameters and positions (GGA-PBE) gives the simulated powder diffraction line list in this record (CuKα).

Largest 10 diffraction maxima, by angle, 10° ≤ 2θ ≤ 90°:
2θ (°)  d_spacing  Rel. int.  h k l
32.95  2.718  100  2 1 2
33.23  2.696  62  5 1 1
34.71  2.584  25  6 1 0
35.86  2.504  28  7 0 1
38.95  2.313  49  0 2 0
40.26  2.240  15  3 0 3
43.09  2.099  22  6 1 2
53.97  1.699  17  7 2 1
62.44  1.487  18  9 1 3
88.92  1.101  17  14 2 2

Structure:
Cell: 18.696 4.625 7.201 Å, 90.00 90.00 90.00°
Space group Pnma (No. 62)
One atom of each set of equivalent atoms:
1 Nd 0.141 0.250 0.018 [4 per cell]
2 In 0.034 0.750 0.848 [4 per cell]
3 In 0.071 0.250 0.496 [4 per cell]
4 In 0.185 0.750 0.317 [4 per cell]
5 In 0.192 0.750 0.731 [4 per cell]
6 Pd 0.039 0.750 0.245 [4 per cell]
7 Pd 0.217 0.250 0.528 [4 per cell]

=====

2.
For LaTiCu, DFT lattice parameters and positions (GGA-PBE) gives the simulated powder diffraction line list in this record (CuKα).

Largest 10 diffraction maxima, by angle, 10° ≤ 2θ ≤ 90°:
2θ (°)  d_spacing  Rel. int.  h k l
26.98  3.304  100  1 1 -1
27.63  3.229  77  1 1 1
31.98  2.799  65  3 1 0
35.29  2.544  80  3 1 -1
35.81  2.507  88  4 0 -1
36.79  2.443  92  3 1 1
37.77  2.382  61  4 0 1
39.23  2.296  52  1 1 -2
41.14  2.194  74  0 2 0
55.68  1.651  68  4 2 -1

Structure:
Cell: 10.926 4.388 5.483 Å, 90.00 93.69 90.00°
Space group Cm (No. 8)
One atom of each set of equivalent atoms:
1 La 0.000 0.000 0.000 [2 per cell]
2 La 0.071 0.500 0.495 [2 per cell]
3 Ti 0.231 0.500 0.026 [2 per cell]
4 Ti 0.286 0.000 0.716 [2 per cell]
5 Cu 0.295 0.000 0.236 [2 per cell]
6 Cu 0.348 0.500 0.492 [2 per cell]